Entry 1:
YGa12Pd4: calculated powder diffraction line list (copper Kα), based on the GGA-PBE geometry in Alexandria.

The 8 most intense peaks (2θ from 5° to 70°), by angle:
d [Å], 2θ/deg, I/Imax
4.401, 20.2, 181
3.112, 28.7, 330
2.783, 32.2, 1000
2.352, 38.3, 407
1.968, 46.1, 474
1.797, 50.8, 503
1.726, 53.1, 355
1.392, 67.3, 148

Structure:
Unit cell a=7.6223 b=7.6223 c=7.6223 alpha=109.47 beta=109.47 gamma=109.47
Element x y z (fractional)
Y1 0.0000 0.0000 0.0000
Ga1 0.1508 0.3468 0.4976
Ga2 0.1508 0.6532 0.8039
Ga3 0.1961 0.8492 0.3468
Ga4 0.3468 0.1961 0.8492
Ga5 0.3468 0.4976 0.1508
Ga6 0.4976 0.1508 0.3468
Ga7 0.5024 0.8492 0.6532
Ga8 0.6532 0.5024 0.8492
Ga9 0.6532 0.8039 0.1508
Ga10 0.8039 0.1508 0.6532
Ga11 0.8492 0.3468 0.1961
Ga12 0.8492 0.6532 0.5024
Pd1 0.0000 0.0000 0.5000
Pd2 0.0000 0.5000 0.0000
Pd3 0.5000 0.0000 0.0000
Pd4 0.5000 0.5000 0.5000

---

Entry 2:
Y3Ga6Pd20: calculated powder diffraction line list (copper Kα), based on the GGA-PBE geometry in Alexandria.

The 8 most intense peaks (2θ from 5° to 70°), by angle:
d [Å], 2θ/deg, I/Imax
2.552, 35.2, 142
2.406, 37.4, 1000
2.210, 40.8, 402
2.113, 42.8, 361
2.084, 43.4, 211
1.885, 48.3, 201
1.473, 63.1, 194
1.444, 64.6, 131

Structure:
Unit cell a=8.8406 b=8.8406 c=8.8406 alpha=60.00 beta=60.00 gamma=60.00
Element x y z (fractional)
Y1 0.0000 0.0000 0.0000
Y2 0.2500 0.2500 0.2500
Y3 0.7500 0.7500 0.7500
Ga1 0.2734 0.2734 0.7266
Ga2 0.2734 0.7266 0.2734
Ga3 0.2734 0.7266 0.7266
Ga4 0.7266 0.2734 0.2734
Ga5 0.7266 0.2734 0.7266
Ga6 0.7266 0.7266 0.2734
Pd1 0.0000 0.0000 0.3440
Pd2 0.0000 0.0000 0.6560
Pd3 0.0000 0.3440 0.0000
Pd4 0.0000 0.3440 0.6560
Pd5 0.0000 0.6560 0.0000
Pd6 0.0000 0.6560 0.3440
Pd7 0.1358 0.6214 0.6214
Pd8 0.3440 0.0000 0.0000
Pd9 0.3440 0.0000 0.6560
Pd10 0.3440 0.6560 0.0000
Pd11 0.3786 0.3786 0.3786
Pd12 0.3786 0.3786 0.8642
Pd13 0.3786 0.8642 0.3786
Pd14 0.6214 0.1358 0.6214
Pd15 0.6214 0.6214 0.1358
Pd16 0.6214 0.6214 0.6214
Pd17 0.6560 0.0000 0.0000
Pd18 0.6560 0.0000 0.3440
Pd19 0.6560 0.3440 0.0000
Pd20 0.8642 0.3786 0.3786

---

Entry 3:
Y3Ga8Pd3: calculated powder diffraction line list (copper Kα), based on the GGA-PBE geometry in Alexandria.

The 8 most intense peaks (2θ from 5° to 70°), by angle:
d [Å], 2θ/deg, I/Imax
2.562, 35.0, 858
2.553, 35.2, 746
2.533, 35.4, 961
2.456, 36.6, 381
2.379, 37.8, 414
2.163, 41.8, 1000
2.108, 42.9, 492
2.058, 44.0, 378

Structure:
Unit cell a=8.1333 b=8.1333 c=9.4915 alpha=124.75 beta=124.75 gamma=30.85
Element x y z (fractional)
Y1 0.0000 0.0000 0.0000
Y2 0.2943 0.2943 0.2938
Y3 0.7057 0.7057 0.7062
Ga1 0.1421 0.1421 0.4286
Ga2 0.1477 0.1477 0.8659
Ga3 0.3460 0.3460 0.7190
Ga4 0.4982 0.4982 0.3208
Ga5 0.5018 0.5018 0.6792
Ga6 0.6540 0.6540 0.2810
Ga7 0.8523 0.8523 0.1341
Ga8 0.8579 0.8579 0.5714
Pd1 0.0000 0.0000 0.5000
Pd2 0.3510 0.3510 0.9902
Pd3 0.6490 0.6490 0.0098

---

Entry 4:
Y3Ga8Pd3: calculated powder diffraction line list (copper Kα), based on the GGA-PBE geometry in Alexandria.

The 8 most intense peaks (2θ from 5° to 70°), by angle:
d [Å], 2θ/deg, I/Imax
2.591, 34.6, 162
2.564, 35.0, 139
2.536, 35.4, 1000
2.391, 37.6, 238
2.126, 42.5, 369
2.067, 43.8, 193
1.988, 45.6, 178
1.431, 65.2, 167

Structure:
Unit cell a=8.1858 b=8.1858 c=8.1858 alpha=149.90 beta=106.43 gamma=81.49
Element x y z (fractional)
Y1 0.0000 0.0000 0.0000
Y2 0.3151 0.3151 0.0000
Y3 0.6849 0.6849 0.0000
Ga1 0.0356 0.6650 0.3705
Ga2 0.1528 0.8708 0.2820
Ga3 0.2945 0.6650 0.6295
Ga4 0.4112 0.1292 0.2820
Ga5 0.5888 0.8708 0.7180
Ga6 0.7055 0.3350 0.3705
Ga7 0.8472 0.1292 0.7180
Ga8 0.9644 0.3350 0.6295
Pd1 0.2874 0.5000 0.7874
Pd2 0.5000 0.0000 0.5000
Pd3 0.7126 0.5000 0.2126

---

Entry 5:
YZnGaPd3: calculated powder diffraction line list (copper Kα), based on the GGA-PBE geometry in Alexandria.

The 8 most intense peaks (2θ from 5° to 70°), by angle:
d [Å], 2θ/deg, I/Imax
6.050, 14.6, 486
2.860, 31.3, 642
2.674, 33.5, 319
2.584, 34.7, 522
2.213, 40.8, 405
2.145, 42.1, 1000
2.108, 42.9, 317
2.077, 43.6, 390

Structure:
Unit cell a=6.8655 b=6.8655 c=5.7166 alpha=90.00 beta=90.00 gamma=123.57
Element x y z (fractional)
Y1 0.1946 0.8054 0.7500
Y2 0.8054 0.1946 0.2500
Zn1 0.4332 0.5668 0.7500
Zn2 0.5668 0.4332 0.2500
Ga1 0.1373 0.8627 0.2500
Ga2 0.8627 0.1373 0.7500
Pd1 0.2106 0.2106 0.0000
Pd2 0.2106 0.2106 0.5000
Pd3 0.3414 0.6586 0.2500
Pd4 0.6586 0.3414 0.7500
Pd5 0.7894 0.7894 0.0000
Pd6 0.7894 0.7894 0.5000

---

Entry 6:
ZnGa4Pd2: calculated powder diffraction line list (copper Kα), based on the GGA-PBE geometry in Alexandria.

The 8 most intense peaks (2θ from 5° to 70°), by angle:
d [Å], 2θ/deg, I/Imax
2.752, 32.5, 364
2.505, 35.9, 343
2.400, 37.5, 357
2.211, 40.8, 1000
2.200, 41.0, 631
2.121, 42.6, 464
2.068, 43.8, 308
2.052, 44.1, 438

Structure:
Unit cell a=6.6758 b=5.5033 c=6.9184 alpha=90.00 beta=114.99 gamma=90.00
Element x y z (fractional)
Zn1 0.2289 0.2500 0.2851
Zn2 0.7711 0.7500 0.7149
Ga1 0.0329 0.7500 0.5361
Ga2 0.0595 0.2500 0.8685
Ga3 0.4268 0.0069 0.7702
Ga4 0.4268 0.4931 0.7702
Ga5 0.5732 0.5069 0.2298
Ga6 0.5732 0.9931 0.2298
Ga7 0.9405 0.7500 0.1315
Ga8 0.9671 0.2500 0.4639
Pd1 0.2229 0.7500 0.9539
Pd2 0.3683 0.7500 0.4195
Pd3 0.6317 0.2500 0.5805
Pd4 0.7771 0.2500 0.0461